[1]
Simulated powder XRD pattern
Compound: PrGdSb2Te2
Radiation: Cu Kα (λ = 1.5418 Å)
Structure: the GGA-PBE geometry in OQMD
Peak positions follow from Bragg's law for the DFT cell and can differ from measured ones.

Crystal structure
```
6
Lattice="4.3386 0.0000 0.0000 0.0000 4.3386 0.0000 0.0000 0.0000 9.4541" Properties=species:S:1:pos:R:3 pbc="T T T"
Pr 0.0000 0.0000 0.0000
Gd 2.1693 2.1693 4.2635
Sb 0.0000 2.1693 6.8237
Sb 2.1693 0.0000 6.8237
Te 0.0000 0.0000 3.3611
Te 2.1693 2.1693 1.0034
```

Principal peaks in the range 2θ = 5–70°, by angle:
Position (°2θ)	I_rel
28.32	43
29.11	24
30.64	100
34.86	90
35.20	62
41.63	62
51.12	33
55.63	33
60.34	21
69.19	19

[2]
Simulated powder XRD pattern
Compound: PrGdZn6Si3
Radiation: Cu Kα (λ = 1.5418 Å)
Structure: the GGA-PBE geometry in OQMD
Peak positions follow from Bragg's law for the DFT cell and can differ from measured ones.

Crystal structure
```
11
Lattice="7.5294 0.0000 0.0000 -3.7647 6.5207 0.0000 0.0000 0.0000 4.0444" Properties=species:S:1:pos:R:3 pbc="T T T"
Pr 0.0000 0.0000 0.0000
Gd 3.7647 2.1736 0.0000
Zn -2.2269 4.3654 2.0222
Zn -0.7641 3.1186 0.0000
Zn 1.0976 2.4094 2.0222
Zn -0.6819 5.6231 0.0000
Zn 1.4460 4.2996 0.0000
Zn 1.1293 6.2665 2.0222
Si 2.3762 0.3055 2.0222
Si 2.8412 4.3100 2.0222
Si 6.0767 1.9051 2.0222
```

Principal peaks in the range 2θ = 5–70°, by angle:
Position (°2θ)	I_rel
23.63	11
27.35	14
32.49	100
36.46	24
41.55	27
42.98	44
44.82	20
53.71	11
59.09	11
62.76	15

[3]
Simulated powder XRD pattern
Compound: PrSm2GdTl2
Radiation: Cu Kα (λ = 1.5418 Å)
Structure: the GGA-PBE geometry in OQMD
Peak positions follow from Bragg's law for the DFT cell and can differ from measured ones.

Crystal structure
```
6
Lattice="5.5170 0.0000 0.0000 -2.7585 4.7778 0.0000 0.0000 0.0000 6.8591" Properties=species:S:1:pos:R:3 pbc="T T T"
Pr 0.0000 0.0000 0.0000
Sm 2.7585 1.5926 1.7796
Sm 2.7585 1.5926 5.0795
Gd 0.0000 3.1852 3.4295
Tl 0.0000 0.0000 3.4295
Tl 0.0000 3.1852 0.0000
```

Principal peaks in the range 2θ = 5–70°, by angle:
Position (°2θ)	I_rel
25.98	9
32.13	86
32.46	100
42.04	16
46.32	32
53.43	8
57.69	33
57.90	19
63.92	28
67.97	12

[4]
Simulated powder XRD pattern
Compound: SrPrGd
Radiation: Cu Kα (λ = 1.5418 Å)
Structure: the GGA-PBE geometry in OQMD
Peak positions follow from Bragg's law for the DFT cell and can differ from measured ones.

Crystal structure
```
3
Lattice="0.0000 4.1203 4.1203 4.1203 0.0000 4.1203 4.1203 4.1203 0.0000" Properties=species:S:1:pos:R:3 pbc="T T T"
Sr 0.0000 0.0000 0.0000
Pr 6.1804 6.1804 6.1804
Gd 4.1203 4.1203 4.1203
```

Principal peaks in the range 2θ = 5–70°, by angle:
Position (°2θ)	I_rel
18.65	37
21.57	8
30.69	100
36.15	21
43.95	19
48.13	10
54.56	39
58.17	7
63.90	12
67.21	7

[5]
Simulated powder XRD pattern
Compound: PrGdZn6
Radiation: Cu Kα (λ = 1.5418 Å)
Structure: the GGA-PBE geometry in OQMD
Peak positions follow from Bragg's law for the DFT cell and can differ from measured ones.

Crystal structure
```
8
Lattice="4.7573 0.0000 0.0000 0.0000 4.7573 0.0000 0.0000 0.0000 6.7234" Properties=species:S:1:pos:R:3 pbc="T T T"
Pr 0.0000 0.0000 0.0000
Gd 2.3787 2.3787 3.3617
Zn 0.0000 0.0000 3.3617
Zn 0.0000 2.3787 1.7353
Zn 0.0000 2.3787 4.9881
Zn 2.3787 0.0000 1.7353
Zn 2.3787 0.0000 4.9881
Zn 2.3787 2.3787 0.0000
```

Principal peaks in the range 2θ = 5–70°, by angle:
Position (°2θ)	I_rel
22.90	11
26.50	6
37.83	100
44.68	6
46.78	2
54.57	17
59.94	2
61.67	2
68.32	33

[6]
Simulated powder XRD pattern
Compound: PrGdZn6
Radiation: Cu Kα (λ = 1.5418 Å)
Structure: the GGA-PBE geometry in OQMD
Peak positions follow from Bragg's law for the DFT cell and can differ from measured ones.

Crystal structure
```
8
Lattice="4.7573 0.0000 0.0000 0.0000 6.7213 0.0000 0.0000 0.0000 4.7583" Properties=species:S:1:pos:R:3 pbc="T T T"
Pr 0.0000 0.0000 0.0000
Gd 2.3787 3.3606 2.3515
Zn 0.0000 1.7358 2.3839
Zn 0.0000 3.3606 4.7543
Zn 0.0000 4.9855 2.3839
Zn 2.3787 0.0000 2.3621
Zn 2.3787 1.7362 4.7268
Zn 2.3787 4.9851 4.7268
```

Principal peaks in the range 2θ = 5–70°, by angle:
Position (°2θ)	I_rel
22.90	11
26.50	6
37.83	100
44.68	6
46.79	2
54.58	17
59.95	2
61.67	2
68.32	33

[7]
Simulated powder XRD pattern
Compound: GdSiPt
Radiation: Cu Kα (λ = 1.5418 Å)
Structure: the GGA-PBE geometry in OQMD
Peak positions follow from Bragg's law for the DFT cell and can differ from measured ones.

Crystal structure
```
6
Lattice="-2.0637 2.0637 7.2245 2.0637 -2.0637 7.2245 2.0637 2.0637 -7.2245" Properties=species:S:1:pos:R:3 pbc="T T T"
Gd 0.0000 0.0000 0.0000
Gd 0.0000 2.0637 3.6123
Si 2.0637 0.0000 2.4417
Si 0.0000 0.0000 6.0539
Pt 2.0637 0.0000 4.8438
Pt 0.0000 0.0000 8.4561
```

Principal peaks in the range 2θ = 5–70°, by angle:
Position (°2θ)	I_rel
22.40	12
28.48	43
33.10	100
38.01	49
43.87	36
49.36	23
53.14	16
59.42	27
63.78	12
68.15	17

[8]
Simulated powder XRD pattern
Compound: GdSi4Pt3
Radiation: Cu Kα (λ = 1.5418 Å)
Structure: the GGA-PBE geometry in OQMD
Peak positions follow from Bragg's law for the DFT cell and can differ from measured ones.

Crystal structure
```
8
Lattice="5.5211 0.0000 0.0000 0.0000 3.8227 0.0000 -1.3593 0.0000 6.4607" Properties=species:S:1:pos:R:3 pbc="T T T"
Gd 0.0000 0.0000 0.0000
Si -0.1311 1.9114 4.5730
Si 2.3173 0.0000 1.8780
Si 1.7100 0.0000 4.9156
Si 4.3166 1.9114 2.0152
Pt 0.1322 0.0000 3.0646
Pt 2.6850 1.9114 0.1394
Pt 3.0110 1.9114 4.0575
```

Principal peaks in the range 2θ = 5–70°, by angle:
Position (°2θ)	I_rel
27.61	37
28.61	100
30.29	30
33.20	50
33.34	35
37.62	68
38.68	29
42.61	27
47.57	31
55.54	30

Repeat the sixth record exactly.
Simulated powder XRD pattern
Compound: PrGdZn6
Radiation: Cu Kα (λ = 1.5418 Å)
Structure: the GGA-PBE geometry in OQMD
Peak positions follow from Bragg's law for the DFT cell and can differ from measured ones.

Crystal structure
```
8
Lattice="4.7573 0.0000 0.0000 0.0000 6.7213 0.0000 0.0000 0.0000 4.7583" Properties=species:S:1:pos:R:3 pbc="T T T"
Pr 0.0000 0.0000 0.0000
Gd 2.3787 3.3606 2.3515
Zn 0.0000 1.7358 2.3839
Zn 0.0000 3.3606 4.7543
Zn 0.0000 4.9855 2.3839
Zn 2.3787 0.0000 2.3621
Zn 2.3787 1.7362 4.7268
Zn 2.3787 4.9851 4.7268
```

Principal peaks in the range 2θ = 5–70°, by angle:
Position (°2θ)	I_rel
22.90	11
26.50	6
37.83	100
44.68	6
46.79	2
54.58	17
59.95	2
61.67	2
68.32	33